1.
The following is a computed X-ray powder pattern of Hf4Zn5Ag. It was derived from a PBE-relaxed structure, using CuKα.

Structure:
Lattice parameters (Å, degrees): 3.249 3.249 16.720 90.00 90.00 90.00
Space group P4/mmm (No. 123)
Asymmetric unit:
Hf  0.000  0.000  0.101 [2 per cell]
Hf  0.000  0.000  0.306 [2 per cell]
Zn  0.500  0.500  0.000 [1 per cell]
Zn  0.500  0.500  0.201 [2 per cell]
Zn  0.500  0.500  0.409 [2 per cell]
Ag  0.000  0.000  0.500 [1 per cell]

Most intense lines, 15° ≤ 2θ ≤ 90°, low angle first:
2theta  d_spacing  I_rel
26.7  3.344  10
27.5  3.249  19
38.6  2.330  100
39.2  2.297  49
48.1  1.893  9
54.9  1.672  8
56.7  1.624  16
69.5  1.352  16
70.7  1.333  33
82.9  1.165  10

2.
The following is a computed X-ray powder pattern of HfZnAg3. It was derived from a PBE-relaxed structure, using CuKα.

Structure:
Lattice parameters (Å, degrees): 4.712 4.712 4.712 90.00 90.00 90.00
Space group Pm-3m (No. 221)
Asymmetric unit:
Hf  0.000  0.000  0.000 [1 per cell]
Zn  0.500  0.500  0.500 [1 per cell]
Ag  0.000  0.500  0.500 [3 per cell]

Most intense lines, 15° ≤ 2θ ≤ 90°, low angle first:
2theta  d_spacing  I_rel
26.8  3.332  23
32.9  2.720  100
38.2  2.356  87
47.3  1.924  10
55.1  1.666  58
62.3  1.490  5
65.7  1.421  39
69.1  1.360  19
75.5  1.259  5
81.8  1.178  9

3.
The following is a computed X-ray powder pattern of AgHg2. It was derived from a PBE-relaxed structure, using CuKα.

Structure:
Lattice parameters (Å, degrees): 6.756 6.756 6.756 90.00 90.00 90.00
Space group Fm-3m (No. 225)
Asymmetric unit:
Ag  0.000  0.000  0.000 [4 per cell]
Hg  0.250  0.250  0.250 [8 per cell]

Most intense lines, 15° ≤ 2θ ≤ 90°, low angle first:
2theta  d_spacing  I_rel
22.8  3.901  12
26.4  3.378  39
37.7  2.389  100
44.5  2.037  6
46.6  1.950  12
54.3  1.689  17
61.4  1.511  16
68.0  1.379  36
80.4  1.194  11
86.4  1.126  9

4.
The following is a computed X-ray powder pattern of AgHg2. It was derived from a PBE-relaxed structure, using CuKα.

Structure:
Lattice parameters (Å, degrees): 3.487 4.083 9.231 90.00 90.00 90.00
Space group Immm (No. 71)
Asymmetric unit:
Ag  0.000  0.000  0.000 [2 per cell]
Hg  0.000  0.000  0.336 [4 per cell]

Most intense lines, 15° ≤ 2θ ≤ 90°, low angle first:
2theta  d_spacing  I_rel
33.8  2.652  100
36.6  2.457  81
39.0  2.307  69
44.4  2.041  24
52.5  1.743  17
60.6  1.529  38
65.7  1.422  29
70.8  1.331  24
71.1  1.326  12
74.9  1.268  10

5.
The following is a computed X-ray powder pattern of AgHg12. It was derived from a PBE-relaxed structure, using CuKα.

Structure:
Lattice parameters (Å, degrees): 8.779 8.779 8.779 90.00 90.00 90.00
Space group Im-3 (No. 204)
Asymmetric unit:
Ag  0.000  0.000  0.000 [2 per cell]
Hg  0.000  0.316  0.179 [24 per cell]

Most intense lines, 15° ≤ 2θ ≤ 90°, low angle first:
2theta  d_spacing  I_rel
28.8  3.104  17
32.2  2.776  100
35.4  2.534  25
38.4  2.346  66
53.2  1.722  9
61.6  1.506  37
63.6  1.463  14
65.5  1.424  28
73.1  1.294  15
76.8  1.242  10

6.
The following is a computed X-ray powder pattern of Ag7Hg3. It was derived from a PBE-relaxed structure, using CuKα.

Structure:
Lattice parameters (Å, degrees): 15.322 4.281 5.981 90.00 102.36 90.00
Space group C2/m (No. 12)
Asymmetric unit:
Ag  0.000  0.000  0.000 [2 per cell]
Ag  0.098  0.500  0.302 [4 per cell]
Ag  0.099  0.500  0.802 [4 per cell]
Ag  0.200  0.000  0.599 [4 per cell]
Hg  0.000  0.000  0.500 [2 per cell]
Hg  0.198  0.000  0.108 [4 per cell]

Most intense lines, 15° ≤ 2θ ≤ 90°, low angle first:
2theta  d_spacing  I_rel
36.6  2.452  100
42.3  2.138  33
43.2  2.095  16
61.3  1.512  11
62.0  1.497  16
62.1  1.495  5
73.5  1.288  13
73.7  1.286  12
74.9  1.268  12
77.9  1.226  11

7.
The following is a computed X-ray powder pattern of Ag7Hg. It was derived from a PBE-relaxed structure, using CuKα.

Structure:
Lattice parameters (Å, degrees): 8.387 8.387 8.387 90.00 90.00 90.00
Space group Fm-3m (No. 225)
Asymmetric unit:
Ag  0.000  0.000  0.000 [4 per cell]
Ag  0.000  0.250  0.250 [24 per cell]
Hg  0.000  0.000  0.500 [4 per cell]

Most intense lines, 15° ≤ 2θ ≤ 90°, low angle first:
2theta  d_spacing  I_rel
18.3  4.842  4
21.2  4.194  2
30.1  2.965  2
35.5  2.529  3
37.1  2.421  100
43.1  2.097  49
47.2  1.924  1
62.7  1.483  31
75.1  1.264  36
79.1  1.211  10

8.
The following is a computed X-ray powder pattern of AgHg5. It was derived from a PBE-relaxed structure, using CuKα.

Structure:
Lattice parameters (Å, degrees): 5.7726 5.7726 5.7867 90.00 90.00 120.00
Space group P6/mmm (No. 191)
Asymmetric unit:
Ag  0.0000  0.0000  0.0000 [1 per cell]
Hg  0.0000  0.5000  0.5000 [3 per cell]
Hg  0.3333  0.6667  0.0000 [2 per cell]

Most intense lines, 15° ≤ 2θ ≤ 90°, low angle first:
2theta  d_spacing  I_rel
17.7  4.999  40
30.9  2.892  68
34.7  2.583  100
35.9  2.501  39
39.3  2.295  67
48.1  1.891  28
57.5  1.603  47
60.6  1.527  19
64.6  1.443  24
73.3  1.291  29

9.
The following is a computed X-ray powder pattern of Ag8Hg3. It was derived from a PBE-relaxed structure, using CuKα.

Structure:
Lattice parameters (Å, degrees): 9.438 4.212 10.951 90.00 105.52 90.00
Space group C2/m (No. 12)
Asymmetric unit:
Ag  0.046  0.000  0.318 [4 per cell]
Ag  0.138  0.000  0.953 [4 per cell]
Ag  0.181  0.500  0.772 [4 per cell]
Ag  0.226  0.000  0.589 [4 per cell]
Hg  0.000  0.500  0.500 [2 per cell]
Hg  0.095  0.500  0.140 [4 per cell]

Most intense lines, 15° ≤ 2θ ≤ 90°, low angle first:
2theta  d_spacing  I_rel
36.6  2.454  100
36.8  2.442  99
42.1  2.146  34
42.9  2.108  64
61.7  1.503  21
62.3  1.490  21
73.2  1.292  13
73.6  1.287  13
74.5  1.273  12
74.7  1.271  24

10.
The following is a computed X-ray powder pattern of AgHg6. It was derived from a PBE-relaxed structure, using CuKα.

Structure:
Lattice parameters (Å, degrees): 8.927 8.639 9.277 90.00 90.00 90.00
Space group Cmcm (No. 63)
Asymmetric unit:
Ag  0.000  0.038  0.250 [4 per cell]
Hg  0.000  0.331  0.072 [8 per cell]
Hg  0.180  0.270  0.750 [8 per cell]
Hg  0.198  0.000  0.000 [8 per cell]

Most intense lines, 15° ≤ 2θ ≤ 90°, low angle first:
2theta  d_spacing  I_rel
28.2  3.161  42
32.3  2.768  45
32.7  2.741  42
33.3  2.692  56
34.8  2.580  100
35.7  2.514  17
37.4  2.406  49
38.8  2.319  20
61.1  1.517  16
69.9  1.346  16

11.
The following is a computed X-ray powder pattern of Ho2AgHg. It was derived from a PBE-relaxed structure, using CuKα.

Structure:
Lattice parameters (Å, degrees): 5.184 3.655 10.372 90.00 90.00 90.00
Space group Pmma (No. 51)
Asymmetric unit:
Ho  0.250  0.000  0.121 [2 per cell]
Ho  0.250  0.000  0.629 [2 per cell]
Ag  0.250  0.500  0.874 [2 per cell]
Hg  0.250  0.500  0.372 [2 per cell]

Most intense lines, 15° ≤ 2θ ≤ 90°, low angle first:
2theta  d_spacing  I_rel
31.1  2.873  2
34.6  2.590  100
49.7  1.833  12
49.9  1.827  6
62.0  1.496  24
62.1  1.494  12
73.0  1.296  4
73.1  1.294  8
83.4  1.159  11
83.6  1.156  5

12.
The following is a computed X-ray powder pattern of Ho4Ag2Hg. It was derived from a PBE-relaxed structure, using CuKα.

Structure:
Lattice parameters (Å, degrees): 5.1167 5.1167 24.6453 90.00 90.00 120.00
Space group R-3m (No. 166, hexagonal axes)
Asymmetric unit:
Ho  0.0000  0.0000  0.1198 [6 per cell]
Ho  0.0000  0.0000  0.3719 [6 per cell]
Ag  0.0000  0.0000  0.2491 [6 per cell]
Hg  0.0000  0.0000  0.5000 [3 per cell]

Most intense lines, 15° ≤ 2θ ≤ 90°, low angle first:
2theta  d_spacing  I_rel
20.4  4.361  11
35.1  2.558  100
35.5  2.529  94
50.8  1.799  34
62.9  1.477  18
63.2  1.471  35
64.0  1.455  16
74.1  1.279  11
85.0  1.142  16
85.7  1.134  14